Record 1
For K2PdS8O26, a DFT-relaxed cell (GGA-PBE, Alexandria) gives the calculated powder diffractogram in this record (copper Kα).
Kinematic intensities with the Lorentz-polarization factor, no thermal factor.

Structural model:
```
data_K2PdS8O26
_cell_length_a 7.6336
_cell_length_b 9.0984
_cell_length_c 9.1393
_cell_angle_alpha 78.41
_cell_angle_beta 73.39
_cell_angle_gamma 89.75
_symmetry_space_group_name_H-M 'P -1'
_symmetry_Int_Tables_number 2
loop_
_symmetry_equiv_pos_as_xyz
'x,y,z'
'-x,-y,-z'
loop_
_atom_site_label
_atom_site_type_symbol
_atom_site_fract_x
_atom_site_fract_y
_atom_site_fract_z
K1 K 0.1282 0.3455 0.2625
Pd1 Pd 0.5000 0.0000 0.0000
S1 S 0.1314 0.0457 0.6873
S2 S 0.2173 0.3179 0.7878
S3 S 0.3379 0.8042 0.8169
S4 S 0.3791 0.7197 0.3004
O1 O 0.0293 0.0511 0.2374
O2 O 0.0966 0.4059 0.7169
O3 O 0.1463 0.1390 0.8211
O4 O 0.1524 0.1483 0.5424
O5 O 0.1919 0.6962 0.8386
O6 O 0.2351 0.3309 0.9360
O7 O 0.2654 0.6969 0.4584
O8 O 0.3058 0.8771 0.9545
O9 O 0.3108 0.9561 0.6686
O10 O 0.3576 0.6205 0.2021
O11 O 0.4064 0.3284 0.6601
O12 O 0.4141 0.8827 0.2271
O13 O 0.4764 0.2263 0.2529
```

Most intense lines, 2θ = 10–80°, low angle first:
10.33 deg, I = 34
12.76 deg, I = 56
18.11 deg, I = 70
19.26 deg, I = 66
20.74 deg, I = 66
24.62 deg, I = 28
25.35 deg, I = 53
25.86 deg, I = 100
26.25 deg, I = 98
30.13 deg, I = 32

=====

Record 2
For Pm2Dy3Tm9, a DFT-relaxed cell (GGA-PBE, Alexandria) gives the calculated powder diffractogram in this record (copper Kα).
Kinematic intensities with the Lorentz-polarization factor, no thermal factor.

Structural model:
```
data_Pm2Dy3Tm9
_cell_length_a 6.1579
_cell_length_b 8.6508
_cell_length_c 8.6755
_cell_angle_alpha 78.75
_cell_angle_beta 86.46
_cell_angle_gamma 77.88
_symmetry_space_group_name_H-M 'P -1'
_symmetry_Int_Tables_number 2
loop_
_symmetry_equiv_pos_as_xyz
'x,y,z'
'-x,-y,-z'
loop_
_atom_site_label
_atom_site_type_symbol
_atom_site_fract_x
_atom_site_fract_y
_atom_site_fract_z
Pm1 Pm 0.0423 0.2952 0.0286
Dy1 Dy 0.2410 0.7282 0.6172
Dy2 Dy 0.5000 0.0000 0.0000
Tm1 Tm 0.0118 0.0837 0.7452
Tm2 Tm 0.1526 0.5079 0.3342
Tm3 Tm 0.3158 0.1048 0.3801
Tm4 Tm 0.4091 0.3074 0.6833
Tm5 Tm 0.5000 0.5000 0.0000
```

Most intense lines, 2θ = 10–80°, low angle first:
31.36 deg, I = 29
31.55 deg, I = 44
31.69 deg, I = 100
32.21 deg, I = 35
32.38 deg, I = 56
33.23 deg, I = 51
34.44 deg, I = 29
34.75 deg, I = 44
53.29 deg, I = 19
59.93 deg, I = 22

=====

Record 3
For LaH6IrPd, a DFT-relaxed cell (GGA-PBE, Alexandria) gives the calculated powder diffractogram in this record (copper Kα).
Kinematic intensities with the Lorentz-polarization factor, no thermal factor.

Structural model:
```
data_LaH6IrPd
_cell_length_a 4.8937
_cell_length_b 4.8937
_cell_length_c 4.2797
_cell_angle_alpha 90.00
_cell_angle_beta 90.00
_cell_angle_gamma 120.00
_symmetry_space_group_name_H-M 'P -6 m 2'
_symmetry_Int_Tables_number 187
_symmetry_space_group_name_Hall 'P -6 2'
loop_
_atom_site_label
_atom_site_type_symbol
_atom_site_fract_x
_atom_site_fract_y
_atom_site_fract_z
La1 La 0.0000 0.0000 0.0000
H1 H 0.5131 0.0262 0.2378
Ir1 Ir 0.6667 0.3333 0.5000
Pd1 Pd 0.3333 0.6667 0.5000
```

Most intense lines, 2θ = 10–80°, low angle first:
20.76 deg, I = 12
29.67 deg, I = 100
36.73 deg, I = 61
42.23 deg, I = 14
42.56 deg, I = 11
47.90 deg, I = 27
57.19 deg, I = 35
61.84 deg, I = 25
66.15 deg, I = 11
69.53 deg, I = 9

=====

Record 4
For CsHg2I, a DFT-relaxed cell (GGA-PBE, Alexandria) gives the calculated powder diffractogram in this record (copper Kα).
Kinematic intensities with the Lorentz-polarization factor, no thermal factor.

Structural model:
```
data_CsHg2I
_cell_length_a 5.4986
_cell_length_b 5.3406
_cell_length_c 12.9579
_cell_angle_alpha 90.00
_cell_angle_beta 101.70
_cell_angle_gamma 90.00
_symmetry_space_group_name_H-M 'P 1 21/m 1'
_symmetry_Int_Tables_number 11
loop_
_symmetry_equiv_pos_as_xyz
'x,y,z'
'-x,-y,-z'
'-x,y+1/2,-z'
'x,-y+1/2,z'
loop_
_atom_site_label
_atom_site_type_symbol
_atom_site_fract_x
_atom_site_fract_y
_atom_site_fract_z
Cs1 Cs 0.1773 0.2500 0.3496
Hg1 Hg 0.0208 0.7500 0.0877
Hg2 Hg 0.4435 0.7500 0.9154
I1 I 0.3260 0.2500 0.6560
```

Most intense lines, 2θ = 10–80°, low angle first:
25.46 deg, I = 42
25.59 deg, I = 43
28.13 deg, I = 29
29.11 deg, I = 99
29.30 deg, I = 100
32.57 deg, I = 47
33.56 deg, I = 45
47.47 deg, I = 33
55.90 deg, I = 22
56.24 deg, I = 24

=====

Record 5
For YMgBi3, a DFT-relaxed cell (GGA-PBE, Alexandria) gives the calculated powder diffractogram in this record (copper Kα).
Kinematic intensities with the Lorentz-polarization factor, no thermal factor.

Structural model:
```
data_YMgBi3
_cell_length_a 13.7809
_cell_length_b 6.4943
_cell_length_c 6.5130
_cell_angle_alpha 90.00
_cell_angle_beta 90.00
_cell_angle_gamma 90.00
_symmetry_space_group_name_H-M 'P b c m'
_symmetry_Int_Tables_number 57
loop_
_symmetry_equiv_pos_as_xyz
'x,y,z'
'-x,-y,-z'
'-x,-y,z+1/2'
'x,y,-z+1/2'
'x,-y+1/2,-z'
'-x,y+1/2,z'
'-x,y+1/2,-z+1/2'
'x,-y+1/2,z+1/2'
loop_
_atom_site_label
_atom_site_type_symbol
_atom_site_fract_x
_atom_site_fract_y
_atom_site_fract_z
Y1 Y 0.1804 0.0027 0.2500
Mg1 Mg 0.3866 0.7500 0.0000
Bi1 Bi 0.0033 0.7500 0.0000
Bi2 Bi 0.2331 0.0045 0.7500
Bi3 Bi 0.4178 0.1705 0.2500
```

Most intense lines, 2θ = 10–80°, low angle first:
27.43 deg, I = 58
28.16 deg, I = 28
30.41 deg, I = 100
32.48 deg, I = 38
33.77 deg, I = 52
39.18 deg, I = 22
39.74 deg, I = 29
47.54 deg, I = 24
48.48 deg, I = 27
65.68 deg, I = 21

=====

Record 6
For Sm5Dy12Y2, a DFT-relaxed cell (GGA-PBE, Alexandria) gives the calculated powder diffractogram in this record (copper Kα).
Kinematic intensities with the Lorentz-polarization factor, no thermal factor.

Structural model:
```
data_Sm5Dy12Y2
_cell_length_a 6.2777
_cell_length_b 8.8820
_cell_length_c 12.0895
_cell_angle_alpha 69.81
_cell_angle_beta 80.33
_cell_angle_gamma 78.84
_symmetry_space_group_name_H-M 'P -1'
_symmetry_Int_Tables_number 2
loop_
_symmetry_equiv_pos_as_xyz
'x,y,z'
'-x,-y,-z'
loop_
_atom_site_label
_atom_site_type_symbol
_atom_site_fract_x
_atom_site_fract_y
_atom_site_fract_z
Sm1 Sm 0.0000 0.0000 0.0000
Sm2 Sm 0.2185 0.3265 0.0095
Sm3 Sm 0.3627 0.8399 0.5058
Dy1 Dy 0.0837 0.1284 0.6643
Dy2 Dy 0.1624 0.2075 0.3239
Dy3 Dy 0.2397 0.4628 0.7115
Dy4 Dy 0.2657 0.6033 0.1425
Dy5 Dy 0.3128 0.7398 0.8319
Dy6 Dy 0.4601 0.9263 0.1730
Y1 Y 0.2539 0.4993 0.4345
```

Most intense lines, 2θ = 10–80°, low angle first:
29.19 deg, I = 100
30.89 deg, I = 95
32.18 deg, I = 80
32.27 deg, I = 70
32.45 deg, I = 77
32.66 deg, I = 74
33.13 deg, I = 19
33.47 deg, I = 33
49.71 deg, I = 28
56.09 deg, I = 19

=====

Record 7
For Li3MgGa6, a DFT-relaxed cell (GGA-PBE, Alexandria) gives the calculated powder diffractogram in this record (copper Kα).
Kinematic intensities with the Lorentz-polarization factor, no thermal factor.

Structural model:
```
data_Li3MgGa6
_cell_length_a 8.2172
_cell_length_b 13.3844
_cell_length_c 6.8061
_cell_angle_alpha 90.00
_cell_angle_beta 90.00
_cell_angle_gamma 90.00
_symmetry_space_group_name_H-M 'C m c 21'
_symmetry_Int_Tables_number 36
loop_
_symmetry_equiv_pos_as_xyz
'x,y,z'
'-x,-y,z+1/2'
'-x,y,z'
'x,-y,z+1/2'
'x+1/2,y+1/2,z'
'-x+1/2,-y+1/2,z+1/2'
'-x+1/2,y+1/2,z'
'x+1/2,-y+1/2,z+1/2'
loop_
_atom_site_label
_atom_site_type_symbol
_atom_site_fract_x
_atom_site_fract_y
_atom_site_fract_z
Li1 Li 0.0000 0.0345 0.0000
Li2 Li 0.1874 0.4628 0.1884
Mg1 Mg 0.0000 0.1952 0.6649
Ga1 Ga 0.0000 0.2989 0.2628
Ga2 Ga 0.0000 0.3742 0.8952
Ga3 Ga 0.1766 0.1246 0.3405
Ga4 Ga 0.2212 0.1901 0.9779
```

Most intense lines, 2θ = 10–80°, low angle first:
13.23 deg, I = 100
18.59 deg, I = 33
26.19 deg, I = 37
28.67 deg, I = 35
36.83 deg, I = 36
37.08 deg, I = 31
38.57 deg, I = 36
40.87 deg, I = 38
42.05 deg, I = 33
42.65 deg, I = 51

=====

Record 8
For Sm7PN5, a DFT-relaxed cell (GGA-PBE, Alexandria) gives the calculated powder diffractogram in this record (copper Kα).
Kinematic intensities with the Lorentz-polarization factor, no thermal factor.

Structural model:
```
data_Sm7PN5
_cell_length_a 3.6738
_cell_length_b 11.9975
_cell_length_c 21.6451
_cell_angle_alpha 90.00
_cell_angle_beta 90.00
_cell_angle_gamma 90.00
_symmetry_space_group_name_H-M 'C m c m'
_symmetry_Int_Tables_number 63
_symmetry_space_group_name_Hall '-C 2c 2'
loop_
_atom_site_label
_atom_site_type_symbol
_atom_site_fract_x
_atom_site_fract_y
_atom_site_fract_z
Sm1 Sm 0.0000 0.0225 0.2500
Sm2 Sm 0.0000 0.1368 0.5326
Sm3 Sm 0.0000 0.3218 0.1659
Sm4 Sm 0.0000 0.4140 0.6021
P1 P 0.0000 0.2995 0.7500
N1 N 0.0000 0.0491 0.6420
N2 N 0.0000 0.2256 0.0720
N3 N 0.0000 0.5000 0.0000
```

Most intense lines, 2θ = 10–80°, low angle first:
28.88 deg, I = 29
30.08 deg, I = 36
30.34 deg, I = 97
32.58 deg, I = 100
32.83 deg, I = 48
34.16 deg, I = 85
35.43 deg, I = 58
49.63 deg, I = 30
52.11 deg, I = 29
60.63 deg, I = 34

=====

Record 9
For K2NaBr, a DFT-relaxed cell (GGA-PBE, Alexandria) gives the calculated powder diffractogram in this record (copper Kα).
Kinematic intensities with the Lorentz-polarization factor, no thermal factor.

Structural model:
```
data_K2NaBr
_cell_length_a 9.4380
_cell_length_b 9.4380
_cell_length_c 9.9554
_cell_angle_alpha 90.00
_cell_angle_beta 90.00
_cell_angle_gamma 90.00
_symmetry_space_group_name_H-M 'I -4 2 d'
_symmetry_Int_Tables_number 122
_symmetry_space_group_name_Hall 'I -4 2bw'
loop_
_atom_site_label
_atom_site_type_symbol
_atom_site_fract_x
_atom_site_fract_y
_atom_site_fract_z
K1 K 0.1837 0.7500 0.1250
Na1 Na 0.0000 0.0000 0.5000
Br1 Br 0.0000 0.0000 0.0000
```

Most intense lines, 2θ = 10–80°, low angle first:
12.93 deg, I = 68
22.28 deg, I = 100
22.89 deg, I = 16
26.72 deg, I = 48
34.38 deg, I = 16
35.06 deg, I = 49
35.46 deg, I = 24
38.14 deg, I = 14
41.00 deg, I = 34
57.23 deg, I = 20

=====

Record 10
For RbTaGeTe, a DFT-relaxed cell (GGA-PBE, Alexandria) gives the calculated powder diffractogram in this record (copper Kα).
Kinematic intensities with the Lorentz-polarization factor, no thermal factor.

Structural model:
```
data_RbTaGeTe
_cell_length_a 3.9559
_cell_length_b 3.9559
_cell_length_c 25.4212
_cell_angle_alpha 90.00
_cell_angle_beta 90.00
_cell_angle_gamma 120.00
_symmetry_space_group_name_H-M 'R 3 m'
_symmetry_Int_Tables_number 160
_symmetry_space_group_name_Hall 'R 3 -2"'
loop_
_atom_site_label
_atom_site_type_symbol
_atom_site_fract_x
_atom_site_fract_y
_atom_site_fract_z
Rb1 Rb 0.0000 0.0000 0.0000
Ta1 Ta 0.0000 0.0000 0.4836
Ge1 Ge 0.0000 0.0000 0.7676
Te1 Te 0.0000 0.0000 0.2207
```

Most intense lines, 2θ = 10–80°, low angle first:
10.44 deg, I = 60
29.62 deg, I = 100
36.04 deg, I = 22
38.65 deg, I = 29
44.37 deg, I = 8
45.88 deg, I = 35
47.19 deg, I = 9
47.45 deg, I = 13
55.56 deg, I = 17
74.83 deg, I = 14

=====

Record 11
For Pm5SmMg6, a DFT-relaxed cell (GGA-PBE, Alexandria) gives the calculated powder diffractogram in this record (copper Kα).
Kinematic intensities with the Lorentz-polarization factor, no thermal factor.

Structural model:
```
data_Pm5SmMg6
_cell_length_a 5.4593
_cell_length_b 16.3798
_cell_length_c 7.7312
_cell_angle_alpha 90.00
_cell_angle_beta 90.00
_cell_angle_gamma 90.00
_symmetry_space_group_name_H-M 'C m m m'
_symmetry_Int_Tables_number 65
_symmetry_space_group_name_Hall '-C 2 2'
loop_
_atom_site_label
_atom_site_type_symbol
_atom_site_fract_x
_atom_site_fract_y
_atom_site_fract_z
Pm1 Pm 0.0000 0.0000 0.0000
Pm2 Pm 0.0000 0.3331 0.0000
Pm3 Pm 0.0000 0.3336 0.5000
Sm1 Sm 0.0000 0.0000 0.5000
Mg1 Mg 0.0000 0.1666 0.2508
Mg2 Mg 0.0000 0.5000 0.2504
```

Most intense lines, 2θ = 10–80°, low angle first:
23.03 deg, I = 60
32.79 deg, I = 100
40.45 deg, I = 19
47.06 deg, I = 18
53.02 deg, I = 26
58.54 deg, I = 38
68.74 deg, I = 12
73.56 deg, I = 9
78.26 deg, I = 11
78.32 deg, I = 5

=====

Record 12
For PmDy4Y, a DFT-relaxed cell (GGA-PBE, Alexandria) gives the calculated powder diffractogram in this record (copper Kα).
Kinematic intensities with the Lorentz-polarization factor, no thermal factor.

Structural model:
```
data_PmDy4Y
_cell_length_a 3.5731
_cell_length_b 5.0314
_cell_length_c 10.6956
_cell_angle_alpha 90.00
_cell_angle_beta 90.00
_cell_angle_gamma 90.00
_symmetry_space_group_name_H-M 'P m m m'
_symmetry_Int_Tables_number 47
loop_
_symmetry_equiv_pos_as_xyz
'x,y,z'
'-x,-y,-z'
'-x,-y,z'
'x,y,-z'
'x,-y,-z'
'-x,y,z'
'-x,y,-z'
'x,-y,z'
loop_
_atom_site_label
_atom_site_type_symbol
_atom_site_fract_x
_atom_site_fract_y
_atom_site_fract_z
Pm1 Pm 0.0000 0.0000 0.0000
Dy1 Dy 0.0000 0.0000 0.3337
Dy2 Dy 0.5000 0.5000 0.1687
Y1 Y 0.5000 0.5000 0.5000
```

Most intense lines, 2θ = 10–80°, low angle first:
30.71 deg, I = 100
35.57 deg, I = 34
35.69 deg, I = 17
51.13 deg, I = 6
51.27 deg, I = 30
60.89 deg, I = 28
61.05 deg, I = 14
63.91 deg, I = 6
64.02 deg, I = 6
75.31 deg, I = 4